1.
CaMg6Bi: calculated XRD peak list (Cu Kα (weighted mean of Kα1 and Kα2)), based on a structure optimized by DFT (PBE).
Intensities are scaled so that the largest is 100.

```
CaMg6Bi
1.0
5.263 0.000 0.000
0.000 3.234 6.006
0.000 -3.234 6.006
Ca Mg Bi
1 6 1
Cartesian
0.000 0.000 0.000
0.000 -1.626 8.967
0.000 1.626 8.967
2.632 -1.646 4.777
2.632 0.000 2.021
2.632 1.646 4.777
2.632 0.000 8.015
0.000 0.000 5.942
```

Top 6 peaks for 10 to 80 degrees two-theta, low angle first:
two_theta  I_rel
14.75  55
15.56  73
22.46  55
23.01  63
34.38  59
35.86  100


2.
CaMg6BiO8: calculated XRD peak list (Cu Kα (weighted mean of Kα1 and Kα2)), based on a structure optimized by DFT (PBE).
Intensities are scaled so that the largest is 100.

```
CaMg6BiO8
1.0
4.500 0.000 0.000
0.000 4.500 0.000
0.000 0.000 9.562
Ca Mg Bi O
1 6 1 8
Cartesian
0.000 0.000 0.000
0.000 0.000 4.781
0.000 2.250 2.707
0.000 2.250 6.855
2.250 0.000 2.707
2.250 0.000 6.855
2.250 2.250 4.781
2.250 2.250 0.000
0.000 0.000 2.591
0.000 0.000 6.972
0.000 2.250 0.000
0.000 2.250 4.781
2.250 0.000 0.000
2.250 0.000 4.781
2.250 2.250 2.781
2.250 2.250 6.781
```

Top 6 peaks for 10 to 80 degrees two-theta, low angle first:
two_theta  I_rel
21.83  68
28.02  62
29.59  55
33.84  66
40.07  100
56.13  59


3.
Ca2Mg2Bi2Sb: calculated XRD peak list (Cu Kα (weighted mean of Kα1 and Kα2)), based on a structure optimized by DFT (PBE).
Intensities are scaled so that the largest is 100.

```
Ca2Mg2Bi2Sb
1.0
4.683 0.000 0.000
-2.300 6.893 0.000
-0.020 -3.119 6.752
Ca Mg Bi Sb
2 2 2 1
Cartesian
0.004 0.058 2.139
2.359 3.717 4.613
0.006 1.086 5.957
2.358 2.689 0.795
0.015 3.681 2.232
2.348 0.094 4.520
2.342 0.000 0.000
```

Top 6 peaks for 10 to 80 degrees two-theta, low angle first:
two_theta  I_rel
20.25  72
23.08  54
24.14  65
25.80  67
25.88  100
30.96  61